Theoretical powder XRD pattern
Compound: BaSrV4Cu4O16
Radiation: a wavelength of 1.5418 Å
Structure: a DFT-relaxed cell (GGA+U, Alexandria)
Peak positions follow from Bragg's law for the DFT cell and can differ from measured ones.

Crystal structure
```
data_BaSrV4Cu4O16
_symmetry_space_group_name_H-M 'I -4 2 d'
_symmetry_Int_Tables_number 122
_symmetry_space_group_name_Hall 'I -4 2bw'
_cell_length_a 13.0648
_cell_length_b 13.0648
_cell_length_c 8.1363
_cell_angle_alpha 90.00
_cell_angle_beta 90.00
_cell_angle_gamma 90.00
loop_
_atom_site_label
_atom_site_type_symbol
_atom_site_fract_x
_atom_site_fract_y
_atom_site_fract_z
_atom_site_occupancy
Ba1 Ba 0.0000 0.0000 0.0000 1
Sr1 Sr 0.0000 0.0000 0.5000 1
V1 V 0.0489 0.7500 0.1250 1
V2 V 0.0956 0.2500 0.6250 1
Cu1 Cu 0.1589 0.6762 0.4930 1
O1 O 0.0187 0.1551 0.7021 1
O2 O 0.0259 0.1590 0.2294 1
O3 O 0.1241 0.6813 0.2630 1
O4 O 0.1749 0.1849 0.4781 1
```

Top 8 peaks for 10 to 90 degrees two-theta, by angle:
d 3.453, 25.80 deg, rel. 29, hkl 2 0 2
d 2.953, 30.27 deg, rel. 64, hkl 4 1 1
d 2.921, 30.60 deg, rel. 54, hkl 4 2 0
d 2.899, 30.85 deg, rel. 100, hkl 3 1 2
d 2.459, 36.54 deg, rel. 32, hkl 2 1 3
d 2.177, 41.47 deg, rel. 27, hkl 6 0 0
d 1.963, 46.26 deg, rel. 37, hkl 5 3 2
d 1.486, 62.49 deg, rel. 33, hkl 6 0 4